Entry 1:
The following is a calculated XRD peak list of ThRe2BC. It was derived from DFT lattice parameters and positions (PBE), using Cu Kα (λ = 1.5418 Å).

The 10 most intense peaks (10 to 90 degrees two-theta), most intense first:
34.30°, I 100.0; 35.24°, I 82.7; 29.76°, I 67.3; 27.74°, I 40.6; 35.52°, I 38.5; 41.03°, I 31.8; 47.78°, I 28.9; 57.29°, I 27.0; 64.73°, I 27.0; 45.33°, I 24.6

Structure:
Cell lengths 5.721, 5.721, 7.228 Å; angles 90.00, 90.00, 141.13 degrees
Element x y z (fractional)
Th (0.039, 0.961, 0.750)
Th (0.961, 0.039, 0.250)
Re (0.319, 0.681, 0.562)
Re (0.319, 0.681, 0.938)
Re (0.681, 0.319, 0.062)
Re (0.681, 0.319, 0.438)
B (0.236, 0.764, 0.250)
B (0.764, 0.236, 0.750)
C (0.500, 0.500, 0.000)
C (0.500, 0.500, 0.500)



Entry 2:
The following is a calculated XRD peak list of ScB12C3. It was derived from DFT lattice parameters and positions (PBE), using Cu Kα (λ = 1.5418 Å).

The 10 most intense peaks (10 to 90 degrees two-theta), most intense first:
22.13°, I 100.0; 34.49°, I 50.7; 28.38°, I 48.7; 32.20°, I 43.8; 32.89°, I 24.8; 40.00°, I 23.1; 54.22°, I 19.2; 50.25°, I 19.1; 27.59°, I 17.6; 43.98°, I 17.2

Structure:
Cell lengths 6.951, 6.951, 6.951 Å; angles 103.19, 103.19, 103.19 degrees
Element x y z (fractional)
Sc (0.000, 0.000, 0.000)
Sc (0.500, 0.500, 0.500)
B (0.044, 0.373, 0.988)
B (0.099, 0.620, 0.697)
B (0.120, 0.599, 0.197)
B (0.151, 0.255, 0.826)
B (0.197, 0.120, 0.599)
B (0.207, 0.900, 0.779)
B (0.255, 0.826, 0.151)
B (0.279, 0.400, 0.707)
B (0.326, 0.755, 0.651)
B (0.373, 0.988, 0.044)
B (0.400, 0.707, 0.279)
B (0.488, 0.873, 0.544)
B (0.544, 0.488, 0.873)
B (0.599, 0.197, 0.120)
B (0.620, 0.697, 0.099)
B (0.651, 0.326, 0.755)
B (0.697, 0.099, 0.620)
B (0.707, 0.279, 0.400)
B (0.755, 0.651, 0.326)
B (0.779, 0.207, 0.900)
B (0.826, 0.151, 0.255)
B (0.873, 0.544, 0.488)
B (0.900, 0.779, 0.207)
B (0.988, 0.044, 0.373)
C (0.118, 0.465, 0.821)
C (0.321, 0.965, 0.618)
C (0.465, 0.821, 0.118)
C (0.618, 0.321, 0.965)
C (0.821, 0.118, 0.465)
C (0.965, 0.618, 0.321)



Entry 3:
The following is a calculated XRD peak list of ScB2C. It was derived from DFT lattice parameters and positions (PBE), using Cu Kα (λ = 1.5418 Å).

The 10 most intense peaks (10 to 90 degrees two-theta), most intense first:
40.32°, I 100.0; 37.87°, I 86.6; 26.83°, I 49.5; 30.07°, I 48.2; 57.16°, I 38.3; 47.03°, I 27.5; 82.50°, I 24.1; 53.97°, I 20.3; 63.94°, I 20.2; 58.97°, I 14.4

Structure:
Cell lengths 6.645, 6.645, 6.795 Å; angles 90.00, 90.00, 90.00 degrees
Element x y z (fractional)
Sc (0.192, 0.308, 0.250)
Sc (0.192, 0.308, 0.750)
Sc (0.308, 0.808, 0.250)
Sc (0.308, 0.808, 0.750)
Sc (0.692, 0.192, 0.250)
Sc (0.692, 0.192, 0.750)
Sc (0.808, 0.692, 0.250)
Sc (0.808, 0.692, 0.750)
B (0.033, 0.847, 0.000)
B (0.092, 0.596, 0.000)
B (0.096, 0.592, 0.500)
B (0.153, 0.033, 0.500)
B (0.347, 0.533, 0.500)
B (0.404, 0.092, 0.500)
B (0.408, 0.096, 0.000)
B (0.467, 0.347, 0.000)
B (0.533, 0.653, 0.000)
B (0.592, 0.904, 0.000)
B (0.596, 0.908, 0.500)
B (0.653, 0.467, 0.500)
B (0.847, 0.967, 0.500)
B (0.904, 0.408, 0.500)
B (0.908, 0.404, 0.000)
B (0.967, 0.153, 0.000)
C (0.040, 0.821, 0.500)
C (0.179, 0.040, 0.000)
C (0.321, 0.540, 0.000)
C (0.460, 0.321, 0.500)
C (0.540, 0.679, 0.500)
C (0.679, 0.460, 0.000)
C (0.821, 0.960, 0.000)
C (0.960, 0.179, 0.500)



Entry 4:
The following is a calculated XRD peak list of BCSe. It was derived from DFT lattice parameters and positions (PBE), using Cu Kα (λ = 1.5418 Å).

The 10 most intense peaks (10 to 90 degrees two-theta), most intense first:
20.49°, I 100.0; 27.53°, I 29.5; 42.54°, I 28.4; 37.91°, I 23.7; 36.86°, I 18.3; 55.62°, I 16.4; 37.55°, I 15.8; 29.81°, I 13.7; 45.82°, I 12.2; 24.78°, I 12.2

Structure:
Cell lengths 5.434, 7.185, 4.877 Å; angles 90.00, 90.00, 90.00 degrees
Element x y z (fractional)
B (0.124, 0.004, 0.000)
B (0.376, 0.004, 0.500)
B (0.624, 0.996, 0.000)
B (0.876, 0.996, 0.500)
C (0.125, 0.023, 0.335)
C (0.375, 0.023, 0.835)
C (0.625, 0.977, 0.335)
C (0.875, 0.977, 0.835)
Se (0.170, 0.302, 0.350)
Se (0.330, 0.302, 0.850)
Se (0.670, 0.698, 0.350)
Se (0.830, 0.698, 0.850)